This entry pairs a crystal structure of TaBeNO with its computed PXRD pattern. Radiation: Cu Ka. Structure: a cell relaxed with PBE.
No peak broadening, texture or thermal motion is included.

Atomic structure:
```
TaBeNO
1.0
4.4144 0.0000 0.0000
0.0000 7.4713 0.0000
0.0000 0.0000 4.3505
Ta Be N O
4 4 4 4
Cartesian
4.4144 0.9585 0.0000
0.0000 6.5128 2.1752
2.2072 0.9585 2.1752
2.2072 6.5128 0.0000
0.4051 3.0574 1.8050
1.8021 3.0574 3.9802
2.6123 4.4139 1.8050
4.0094 4.4139 3.9802
0.0206 6.1202 0.0070
2.1867 6.1202 2.1822
2.2278 1.3511 0.0070
4.3939 1.3511 2.1822
0.3069 3.1054 0.1948
1.9003 3.1054 2.3700
2.5141 4.3659 0.1948
4.1075 4.3659 2.3700
```

Main lines, sorted by position (15° ≤ 2θ ≤ 90°):
31.25°, I = 95, (1 1 1)
36.06°, I = 23, (0 3 0)
37.72°, I = 100, (1 2 1)
40.89°, I = 33, (2 0 0)
41.51°, I = 32, (0 0 2)
42.72°, I = 19, (2 1 0)
43.32°, I = 18, (0 1 2)
46.80°, I = 36, (1 3 1)
48.75°, I = 17, (0 4 0)
59.68°, I = 20, (2 0 2)
72.36°, I = 17, (3 2 1)
73.23°, I = 16, (1 2 3)